This entry pairs a crystal structure of NdGd2DyIn2 with its theoretical X-ray powder pattern. Radiation: Cu Ka. Structure: a crystal structure in OQMD, relaxed with GGA-PBE.

Atomic structure:
```
data_NdGd2DyIn2
_space_group_name_H-M_alt 'P 1'
_space_group_IT_number 1
_space_group_name_Hall 'P 1'
_cell_length_a 5.4519
_cell_length_b 5.4519
_cell_length_c 6.8080
_cell_angle_alpha 90.00
_cell_angle_beta 90.00
_cell_angle_gamma 120.00
loop_
_atom_site_label
_atom_site_type_symbol
_atom_site_fract_x
_atom_site_fract_y
_atom_site_fract_z
Nd1 Nd 0.0000 0.0000 0.0000
Gd1 Gd 0.6667 0.3333 0.2552
Gd2 Gd 0.6667 0.3333 0.7448
Dy1 Dy 0.3333 0.6667 0.5000
In1 In 0.0000 0.0000 0.5000
In2 In 0.3333 0.6667 0.0000
```

Main lines, in order of falling intensity (2θ = 10–90°):
2θ = 32.86°, 2.726 Å, intensity 100; 2θ = 32.42°, 2.761 Å, intensity 96; 2θ = 58.39°, 1.581 Å, intensity 36; 2θ = 46.83°, 1.940 Å, intensity 35; 2θ = 64.55°, 1.444 Å, intensity 28; 2θ = 58.66°, 1.574 Å, intensity 19

***

This entry pairs a crystal structure of GdDyIn2Ni4 with its theoretical X-ray powder pattern. Radiation: Cu Ka. Structure: a crystal structure in OQMD, relaxed with GGA-PBE.

Atomic structure:
```
data_GdDyIn2Ni4
_space_group_name_H-M_alt 'P 1'
_space_group_IT_number 1
_space_group_name_Hall 'P 1'
_cell_length_a 4.0088
_cell_length_b 5.1116
_cell_length_c 7.0269
_cell_angle_alpha 90.00
_cell_angle_beta 90.00
_cell_angle_gamma 90.00
loop_
_atom_site_label
_atom_site_type_symbol
_atom_site_fract_x
_atom_site_fract_y
_atom_site_fract_z
Gd1 Gd 0.0000 0.0000 0.0000
Dy1 Dy 0.0000 0.5000 0.4656
In1 In 0.5000 0.0000 0.3784
In2 In 0.5000 0.5000 0.0868
Ni1 Ni 0.0000 0.0000 0.6190
Ni2 Ni 0.0000 0.5000 0.8438
Ni3 Ni 0.5000 0.2513 0.7304
Ni4 Ni 0.5000 0.7487 0.7304
```

Main lines, in order of falling intensity (2θ = 10–90°):
2θ = 31.08°, 2.878 Å, intensity 100; 2θ = 38.36°, 2.346 Å, intensity 71; 2θ = 45.24°, 2.004 Å, intensity 34; 2θ = 35.11°, 2.556 Å, intensity 32; 2θ = 42.45°, 2.129 Å, intensity 31; 2θ = 33.93°, 2.642 Å, intensity 30

***

This entry pairs a crystal structure of GdDyIn4Pt2 with its theoretical X-ray powder pattern. Radiation: Cu Ka. Structure: a crystal structure in OQMD, relaxed with GGA-PBE.

Atomic structure:
```
data_GdDyIn4Pt2
_space_group_name_H-M_alt 'P 1'
_space_group_IT_number 1
_space_group_name_Hall 'P 1'
_cell_length_a 7.7330
_cell_length_b 4.4113
_cell_length_c 10.4586
_cell_angle_alpha 90.00
_cell_angle_beta 90.00
_cell_angle_gamma 90.00
loop_
_atom_site_label
_atom_site_type_symbol
_atom_site_fract_x
_atom_site_fract_y
_atom_site_fract_z
Gd1 Gd 0.0000 0.0000 0.0000
Gd2 Gd 0.0000 0.5000 0.5000
Dy1 Dy 0.5000 0.0000 0.8562
Dy2 Dy 0.5000 0.5000 0.3562
In1 In 0.2005 0.0000 0.2907
In2 In 0.2005 0.5000 0.7907
In3 In 0.3006 0.0000 0.5658
In4 In 0.3006 0.5000 0.0658
In5 In 0.6994 0.0000 0.5658
In6 In 0.6994 0.5000 0.0658
In7 In 0.7995 0.0000 0.2907
In8 In 0.7995 0.5000 0.7907
Pt1 Pt 0.0000 0.0000 0.7112
Pt2 Pt 0.0000 0.5000 0.2112
Pt3 Pt 0.5000 0.0000 0.1450
Pt4 Pt 0.5000 0.5000 0.6450
```

Main lines, in order of falling intensity (2θ = 10–90°):
2θ = 34.79°, 2.579 Å, intensity 100; 2θ = 31.95°, 2.801 Å, intensity 97; 2θ = 40.92°, 2.206 Å, intensity 45; 2θ = 36.27°, 2.477 Å, intensity 37; 2θ = 41.48°, 2.177 Å, intensity 35; 2θ = 40.39°, 2.233 Å, intensity 32

***

This entry pairs a crystal structure of GdDySi4Ir2 with its theoretical X-ray powder pattern. Radiation: Cu Ka. Structure: a crystal structure in OQMD, relaxed with GGA-PBE.

Atomic structure:
```
data_GdDySi4Ir2
_space_group_name_H-M_alt 'P 1'
_space_group_IT_number 1
_space_group_name_Hall 'P 1'
_cell_length_a 2.9683
_cell_length_b 3.9581
_cell_length_c 28.6138
_cell_angle_alpha 90.00
_cell_angle_beta 90.00
_cell_angle_gamma 90.00
loop_
_atom_site_label
_atom_site_type_symbol
_atom_site_fract_x
_atom_site_fract_y
_atom_site_fract_z
Gd1 Gd 0.0000 0.0000 0.0000
Gd2 Gd 0.0000 0.5000 0.5000
Dy1 Dy 0.0000 0.0000 0.6934
Dy2 Dy 0.0000 0.5000 0.1934
Si1 Si 0.0000 0.0000 0.1196
Si2 Si 0.0000 0.0000 0.5747
Si3 Si 0.0000 0.0000 0.8039
Si4 Si 0.0000 0.0000 0.8883
Si5 Si 0.0000 0.5000 0.0747
Si6 Si 0.0000 0.5000 0.3039
Si7 Si 0.0000 0.5000 0.3883
Si8 Si 0.0000 0.5000 0.6196
Ir1 Ir 0.0000 0.0000 0.2642
Ir2 Ir 0.0000 0.0000 0.4280
Ir3 Ir 0.0000 0.5000 0.7642
Ir4 Ir 0.0000 0.5000 0.9280
```

Main lines, in order of falling intensity (2θ = 10–90°):
2θ = 12.37°, 7.153 Å, intensity 100; 2θ = 31.46°, 2.843 Å, intensity 88; 2θ = 30.11°, 2.968 Å, intensity 76; 2θ = 44.10°, 2.053 Å, intensity 70; 2θ = 27.40°, 3.255 Å, intensity 31; 2θ = 55.83°, 1.647 Å, intensity 27

***

This entry pairs a crystal structure of GdDyLu6 with its theoretical X-ray powder pattern. Radiation: Cu Ka. Structure: a crystal structure in OQMD, relaxed with GGA-PBE.

Atomic structure:
```
data_GdDyLu6
_space_group_name_H-M_alt 'P 1'
_space_group_IT_number 1
_space_group_name_Hall 'P 1'
_cell_length_a 7.0620
_cell_length_b 7.0620
_cell_length_c 5.5158
_cell_angle_alpha 90.00
_cell_angle_beta 90.00
_cell_angle_gamma 120.00
loop_
_atom_site_label
_atom_site_type_symbol
_atom_site_fract_x
_atom_site_fract_y
_atom_site_fract_z
Gd1 Gd 0.0000 0.0000 0.0000
Dy1 Dy 0.3333 0.6667 0.5000
Lu1 Lu 0.3353 0.1676 0.5000
Lu2 Lu 0.5010 0.0019 0.0000
Lu3 Lu 0.5010 0.4990 0.0000
Lu4 Lu 0.8324 0.1676 0.5000
Lu5 Lu 0.8324 0.6647 0.5000
Lu6 Lu 0.9981 0.4990 0.0000
```

Main lines, in order of falling intensity (2θ = 10–90°):
2θ = 33.51°, 2.674 Å, intensity 100; 2θ = 32.46°, 2.758 Å, intensity 24; 2θ = 29.20°, 3.058 Å, intensity 24; 2θ = 62.46°, 1.487 Å, intensity 22; 2θ = 58.58°, 1.576 Å, intensity 20; 2θ = 51.78°, 1.766 Å, intensity 20

***

This entry pairs a crystal structure of GdDyMg3Pd2 with its theoretical X-ray powder pattern. Radiation: Cu Ka. Structure: a crystal structure in OQMD, relaxed with GGA-PBE.

Atomic structure:
```
data_GdDyMg3Pd2
_space_group_name_H-M_alt 'P 1'
_space_group_IT_number 1
_space_group_name_Hall 'P 1'
_cell_length_a 3.6489
_cell_length_b 4.2278
_cell_length_c 21.1692
_cell_angle_alpha 90.00
_cell_angle_beta 90.00
_cell_angle_gamma 90.00
loop_
_atom_site_label
_atom_site_type_symbol
_atom_site_fract_x
_atom_site_fract_y
_atom_site_fract_z
Gd1 Gd 0.0000 0.0000 0.0000
Gd2 Gd 0.0000 0.5000 0.5000
Dy1 Dy 0.0000 0.0000 0.6557
Dy2 Dy 0.0000 0.5000 0.1557
Mg1 Mg 0.0000 0.0000 0.8278
Mg2 Mg 0.0000 0.5000 0.3278
Mg3 Mg 0.5000 0.0000 0.2527
Mg4 Mg 0.5000 0.0000 0.4026
Mg5 Mg 0.5000 0.5000 0.7527
Mg6 Mg 0.5000 0.5000 0.9026
Pd1 Pd 0.5000 0.0000 0.1234
Pd2 Pd 0.5000 0.0000 0.5336
Pd3 Pd 0.5000 0.5000 0.0336
Pd4 Pd 0.5000 0.5000 0.6234
```

Main lines, in order of falling intensity (2θ = 10–90°):
2θ = 34.88°, 2.572 Å, intensity 100; 2θ = 38.93°, 2.313 Å, intensity 62; 2θ = 32.69°, 2.739 Å, intensity 48; 2θ = 35.39°, 2.536 Å, intensity 31; 2θ = 36.53°, 2.460 Å, intensity 30; 2θ = 42.77°, 2.114 Å, intensity 29

***

This entry pairs a crystal structure of Gd2DyMg3Pt3 with its theoretical X-ray powder pattern. Radiation: Cu Ka. Structure: a crystal structure in OQMD, relaxed with GGA-PBE.

Atomic structure:
```
data_Gd2DyMg3Pt3
_space_group_name_H-M_alt 'P 1'
_space_group_IT_number 1
_space_group_name_Hall 'P 1'
_cell_length_a 4.0780
_cell_length_b 7.3853
_cell_length_c 7.3853
_cell_angle_alpha 119.97
_cell_angle_beta 90.00
_cell_angle_gamma 90.00
loop_
_atom_site_label
_atom_site_type_symbol
_atom_site_fract_x
_atom_site_fract_y
_atom_site_fract_z
Gd1 Gd 0.0000 0.2053 0.7947
Gd2 Gd 0.0000 0.7947 0.2053
Dy1 Dy 0.0000 0.3854 0.3854
Mg1 Mg 0.5000 0.0398 0.0398
Mg2 Mg 0.5000 0.5501 0.7941
Mg3 Mg 0.5000 0.7941 0.5501
Pt1 Pt 0.0000 0.7932 0.7932
Pt2 Pt 0.5000 0.1299 0.4609
Pt3 Pt 0.5000 0.4609 0.1299
```

Main lines, in order of falling intensity (2θ = 10–90°):
2θ = 35.68°, 2.517 Å, intensity 100; 2θ = 32.71°, 2.737 Å, intensity 68; 2θ = 24.10°, 3.693 Å, intensity 53; 2θ = 42.39°, 2.132 Å, intensity 40; 2θ = 43.51°, 2.080 Å, intensity 38; 2θ = 25.91°, 3.439 Å, intensity 28

***

This entry pairs a crystal structure of GdDy2N3 with its theoretical X-ray powder pattern. Radiation: Cu Ka. Structure: a crystal structure in OQMD, relaxed with GGA-PBE.

Atomic structure:
```
data_GdDy2N3
_space_group_name_H-M_alt 'P 1'
_space_group_IT_number 1
_space_group_name_Hall 'P 1'
_cell_length_a 3.4755
_cell_length_b 3.4755
_cell_length_c 8.5075
_cell_angle_alpha 90.00
_cell_angle_beta 90.00
_cell_angle_gamma 120.00
loop_
_atom_site_label
_atom_site_type_symbol
_atom_site_fract_x
_atom_site_fract_y
_atom_site_fract_z
Gd1 Gd 0.0000 0.0000 0.0000
Dy1 Dy 0.3333 0.6667 0.3346
Dy2 Dy 0.6667 0.3333 0.6654
N1 N 0.0000 0.0000 0.5000
N2 N 0.3333 0.6667 0.8306
N3 N 0.6667 0.3333 0.1694
```

Main lines, in order of falling intensity (2θ = 10–90°):
2θ = 31.53°, 2.837 Å, intensity 100; 2θ = 36.57°, 2.457 Å, intensity 72; 2θ = 52.68°, 1.737 Å, intensity 49; 2θ = 62.71°, 1.482 Å, intensity 45; 2θ = 89.11°, 1.099 Å, intensity 23; 2θ = 86.29°, 1.127 Å, intensity 19

***

This entry pairs a crystal structure of GdDyNb2Sn2 with its theoretical X-ray powder pattern. Radiation: Cu Ka. Structure: a crystal structure in OQMD, relaxed with GGA-PBE.

Atomic structure:
```
data_GdDyNb2Sn2
_space_group_name_H-M_alt 'P 1'
_space_group_IT_number 1
_space_group_name_Hall 'P 1'
_cell_length_a 4.1964
_cell_length_b 4.1964
_cell_length_c 8.2195
_cell_angle_alpha 90.00
_cell_angle_beta 90.00
_cell_angle_gamma 90.00
loop_
_atom_site_label
_atom_site_type_symbol
_atom_site_fract_x
_atom_site_fract_y
_atom_site_fract_z
Gd1 Gd 0.0000 0.0000 0.0000
Dy1 Dy 0.5000 0.5000 0.2949
Nb1 Nb 0.0000 0.5000 0.6458
Nb2 Nb 0.5000 0.0000 0.6458
Sn1 Sn 0.0000 0.0000 0.3954
Sn2 Sn 0.5000 0.5000 0.8962
```

Main lines, in order of falling intensity (2θ = 10–90°):
2θ = 37.38°, 2.406 Å, intensity 100; 2θ = 32.07°, 2.791 Å, intensity 81; 2θ = 43.11°, 2.098 Å, intensity 69; 2θ = 30.44°, 2.936 Å, intensity 57; 2θ = 30.12°, 2.967 Å, intensity 43; 2θ = 39.27°, 2.294 Å, intensity 40

***

This entry pairs a crystal structure of GdDy2Ni9 with its theoretical X-ray powder pattern. Radiation: Cu Ka. Structure: a crystal structure in OQMD, relaxed with GGA-PBE.

Atomic structure:
```
data_GdDy2Ni9
_space_group_name_H-M_alt 'P 1'
_space_group_IT_number 1
_space_group_name_Hall 'P 1'
_cell_length_a 8.5900
_cell_length_b 8.5900
_cell_length_c 8.5900
_cell_angle_alpha 33.51
_cell_angle_beta 33.51
_cell_angle_gamma 33.51
loop_
_atom_site_label
_atom_site_type_symbol
_atom_site_fract_x
_atom_site_fract_y
_atom_site_fract_z
Gd1 Gd 0.0000 0.0000 0.0000
Dy1 Dy 0.1392 0.1392 0.1392
Dy2 Dy 0.8608 0.8608 0.8608
Ni1 Ni 0.0816 0.5827 0.5827
Ni2 Ni 0.3331 0.3331 0.3331
Ni3 Ni 0.4173 0.4173 0.9184
Ni4 Ni 0.4173 0.9184 0.4173
Ni5 Ni 0.5000 0.5000 0.5000
Ni6 Ni 0.5827 0.0816 0.5827
Ni7 Ni 0.5827 0.5827 0.0816
Ni8 Ni 0.6669 0.6669 0.6669
Ni9 Ni 0.9184 0.4173 0.4173
```

Main lines, in order of falling intensity (2θ = 10–90°):
2θ = 42.80°, 2.113 Å, intensity 100; 2θ = 36.26°, 2.477 Å, intensity 87; 2θ = 33.20°, 2.699 Å, intensity 48; 2θ = 42.31°, 2.136 Å, intensity 36; 2θ = 46.25°, 1.963 Å, intensity 28; 2θ = 65.24°, 1.430 Å, intensity 24

***

This entry pairs a crystal structure of GdDyNi2P2 with its theoretical X-ray powder pattern. Radiation: Cu Ka. Structure: a crystal structure in OQMD, relaxed with GGA-PBE.

Atomic structure:
```
data_GdDyNi2P2
_space_group_name_H-M_alt 'P 1'
_space_group_IT_number 1
_space_group_name_Hall 'P 1'
_cell_length_a 3.9129
_cell_length_b 3.9129
_cell_length_c 15.4411
_cell_angle_alpha 90.00
_cell_angle_beta 90.00
_cell_angle_gamma 120.00
loop_
_atom_site_label
_atom_site_type_symbol
_atom_site_fract_x
_atom_site_fract_y
_atom_site_fract_z
Gd1 Gd 0.0000 0.0000 0.2500
Gd2 Gd 0.0000 0.0000 0.7500
Dy1 Dy 0.0000 0.0000 0.0000
Dy2 Dy 0.0000 0.0000 0.5000
Ni1 Ni 0.3333 0.6667 0.1268
Ni2 Ni 0.3333 0.6667 0.3732
Ni3 Ni 0.6667 0.3333 0.6268
Ni4 Ni 0.6667 0.3333 0.8732
P1 P 0.3333 0.6667 0.6223
P2 P 0.3333 0.6667 0.8777
P3 P 0.6667 0.3333 0.1223
P4 P 0.6667 0.3333 0.3777
```

Main lines, in order of falling intensity (2θ = 10–90°):
2θ = 35.24°, 2.547 Å, intensity 100; 2θ = 46.41°, 1.956 Å, intensity 35; 2θ = 26.30°, 3.389 Å, intensity 30; 2θ = 59.59°, 1.551 Å, intensity 21; 2θ = 68.26°, 1.374 Å, intensity 21; 2θ = 78.72°, 1.216 Å, intensity 19

***

This entry pairs a crystal structure of GdDyNi2Sn with its theoretical X-ray powder pattern. Radiation: Cu Ka. Structure: a crystal structure in OQMD, relaxed with GGA-PBE.

Atomic structure:
```
data_GdDyNi2Sn
_space_group_name_H-M_alt 'P 1'
_space_group_IT_number 1
_space_group_name_Hall 'P 1'
_cell_length_a 3.6504
_cell_length_b 4.0050
_cell_length_c 13.9057
_cell_angle_alpha 90.00
_cell_angle_beta 90.00
_cell_angle_gamma 90.00
loop_
_atom_site_label
_atom_site_type_symbol
_atom_site_fract_x
_atom_site_fract_y
_atom_site_fract_z
Gd1 Gd 0.0000 0.0000 0.0000
Gd2 Gd 0.0000 0.5000 0.5000
Dy1 Dy 0.0000 0.0000 0.7274
Dy2 Dy 0.0000 0.5000 0.2274
Ni1 Ni 0.5000 0.0000 0.1667
Ni2 Ni 0.5000 0.0000 0.5624
Ni3 Ni 0.5000 0.5000 0.0624
Ni4 Ni 0.5000 0.5000 0.6667
Sn1 Sn 0.5000 0.0000 0.3627
Sn2 Sn 0.5000 0.5000 0.8627
```

Main lines, in order of falling intensity (2θ = 10–90°):
2θ = 33.84°, 2.649 Å, intensity 100; 2θ = 35.66°, 2.517 Å, intensity 66; 2θ = 29.47°, 3.031 Å, intensity 40; 2θ = 58.92°, 1.567 Å, intensity 36; 2θ = 39.45°, 2.284 Å, intensity 35; 2θ = 38.61°, 2.332 Å, intensity 32